Computed powder X-ray diffraction pattern of Ba2La2Mn4O11 for copper Kα, from the PBE+U geometry in Alexandria.

Atomic structure:
Cell lengths 8.8949, 8.8949, 3.9170 Å; angles 90.00, 90.00, 124.59 degrees
Fractional positions:
Ba (0.0000, 0.5000, 0.0000)
Ba (0.5000, 0.0000, 0.0000)
La (0.2314, 0.2314, 0.0000)
La (0.7686, 0.7686, 0.0000)
Mn (0.1250, 0.8750, 0.5000)
Mn (0.3801, 0.6199, 0.5000)
Mn (0.6199, 0.3801, 0.5000)
Mn (0.8750, 0.1250, 0.5000)
O (0.0000, 0.0000, 0.5000)
O (0.1165, 0.8835, 0.0000)
O (0.1620, 0.3735, 0.5000)
O (0.2478, 0.7522, 0.5000)
O (0.3735, 0.1620, 0.5000)
O (0.4073, 0.5927, 0.0000)
O (0.5927, 0.4073, 0.0000)
O (0.6265, 0.8380, 0.5000)
O (0.7522, 0.2478, 0.5000)
O (0.8380, 0.6265, 0.5000)
O (0.8835, 0.1165, 0.0000)

Top 6 peaks for 10° ≤ 2θ ≤ 90°, sorted by position:
| Position (°2θ) | I_rel |
| --- | --- |
| 31.41 | 100 |
| 32.24 | 51 |
| 39.07 | 25 |
| 55.40 | 19 |
| 56.88 | 20 |
| 57.05 | 19 |